No. 1
Diffraction record for SrLaMnO4. The PXRD pattern is theoretical, not measured: it uses a DFT-relaxed cell (PBE+U, the Materials Project) and λ = 1.5418 Å (Cu Kα).
Peak positions follow from Bragg's law for the DFT cell and can differ from measured ones.

Principal peaks in the range 2θ = 10–90°, by angle:
(hkl)  2θ/deg  intensity
1 0 1  23.90  22
1 0 3  31.04  100
1 1 0  32.55  68
0 0 6  42.12  28
1 1 4  43.28  28
2 0 0  46.71  36
1 1 6  54.24  16
1 0 7  55.24  17
2 1 3  57.14  36
2 0 6  64.70  21

Structural model:
a = 3.890 Å, b = 3.890 Å, c = 12.867 Å
α = 90.00°, β = 90.00°, γ = 90.00°
Space group I4mm (No. 107)
Symmetry-distinct sites (fractional):
Sr 0.000 0.000 0.000 [2 per cell]
La 0.000 0.000 0.713 [2 per cell]
Mn 0.000 0.000 0.360 [2 per cell]
O 0.000 0.000 0.189 [2 per cell]
O 0.000 0.000 0.533 [2 per cell]
O 0.000 0.500 0.351 [4 per cell]


No. 2
Diffraction record for Sr2LiCdWO6. The PXRD pattern is theoretical, not measured: it uses a DFT-relaxed cell (PBE+U, the Materials Project) and λ = 1.5418 Å (Cu Kα).
Peak positions follow from Bragg's law for the DFT cell and can differ from measured ones.

Principal peaks in the range 2θ = 10–90°, by angle:
(hkl)  2θ/deg  intensity
0 0 1  17.57  26
1 0 0  17.80  19
1 1 0  27.59  100
-1 1 1  29.48  57
1 1 -2  29.82  56
0 2 -1  30.74  49
2 0 -1  33.06  27
0 0 2  35.59  24
2 -2 0  45.51  19
2 2 -2  46.01  19

Structural model:
a = 5.446 Å, b = 5.819 Å, c = 6.203 Å
α = 117.32°, β = 110.70°, γ = 90.56°
Space group P-1 (No. 2)
Symmetry-distinct sites (fractional):
Sr 0.182 0.223 0.441 [2 per cell]
Li 0.500 0.500 0.000 [1 per cell]
Cd 0.500 0.000 0.000 [1 per cell]
W 0.000 0.500 0.000 [1 per cell]
O 0.181 0.187 0.839 [2 per cell]
O 0.186 0.649 0.836 [2 per cell]
O 0.318 0.661 0.327 [2 per cell]


No. 3
Diffraction record for FeOF. The PXRD pattern is theoretical, not measured: it uses a DFT-relaxed cell (PBE+U, the Materials Project) and λ = 1.5418 Å (Cu Kα).
Peak positions follow from Bragg's law for the DFT cell and can differ from measured ones.

Principal peaks in the range 2θ = 10–90°, by angle:
(hkl)  2θ/deg  intensity
1 0 -2  26.62  100
1 1 0  34.40  58
1 1 -2  39.46  18
2 1 -2  52.12  31
1 1 -4  52.27  28
2 0 -4  54.79  8
0 2 0  59.18  11
1 2 -2  66.03  13
3 1 0  66.16  10
0 1 6  66.57  9

Structural model:
a = 4.751 Å, b = 3.122 Å, c = 9.437 Å
α = 90.00°, β = 90.11°, γ = 90.00°
Space group Pm (No. 6)
Symmetry-distinct sites (fractional):
Fe 0.000 0.000 0.000 [1 per cell]
Fe 0.002 0.000 0.501 [1 per cell]
Fe 0.508 0.500 0.711 [1 per cell]
Fe 0.573 0.500 0.250 [1 per cell]
O 0.322 0.000 0.639 [1 per cell]
O 0.731 0.000 0.337 [1 per cell]
O 0.829 0.500 0.588 [1 per cell]
O 0.830 0.500 0.083 [1 per cell]
F 0.220 0.500 0.895 [1 per cell]
F 0.224 0.500 0.384 [1 per cell]
F 0.331 0.000 0.140 [1 per cell]
F 0.719 0.000 0.837 [1 per cell]


No. 4
Diffraction record for Mn3Cu2SnP6O24. The PXRD pattern is theoretical, not measured: it uses a DFT-relaxed cell (PBE+U, the Materials Project) and λ = 1.5418 Å (Cu Kα).
Peak positions follow from Bragg's law for the DFT cell and can differ from measured ones.

Principal peaks in the range 2θ = 10–90°, by angle:
(hkl)  2θ/deg  intensity
1 0 4  20.65  16
1 1 0  20.77  100
1 1 3  24.35  76
2 -1 6  32.95  70
3 0 0  36.38  43
3 -2 8  47.31  32
4 -2 6  49.89  26
4 -1 8  56.77  16
4 1 0  56.96  28
5 -1 6  63.31  20

Structural model:
a = 8.5534 Å, b = 8.5534 Å, c = 21.1314 Å
α = 90.00°, β = 90.00°, γ = 120.00°
Space group R3 (No. 146, hexagonal axes)
Symmetry-distinct sites (fractional):
Mn 0.0000 0.0000 0.0000 [3 per cell]
Mn 0.0000 0.0000 0.2140 [3 per cell]
Mn 0.0000 0.0000 0.4993 [3 per cell]
Cu 0.0000 0.0000 0.3562 [3 per cell]
Cu 0.0000 0.0000 0.8592 [3 per cell]
Sn 0.0000 0.0000 0.7140 [3 per cell]
P 0.9996 0.2953 0.6045 [9 per cell]
P 0.0039 0.7152 0.1078 [9 per cell]
O 0.0062 0.8088 0.0461 [9 per cell]
O 0.0079 0.1988 0.5454 [9 per cell]
O 0.0186 0.1784 0.2754 [9 per cell]
O 0.0238 0.8348 0.7805 [9 per cell]
O 0.1340 0.4573 0.3338 [9 per cell]
O 0.1454 0.6689 0.8353 [9 per cell]
O 0.1713 0.4860 0.6014 [9 per cell]
O 0.1749 0.6940 0.1029 [9 per cell]


No. 5
Diffraction record for Li4Co5SbO12. The PXRD pattern is theoretical, not measured: it uses a DFT-relaxed cell (PBE+U, the Materials Project) and λ = 1.5418 Å (Cu Kα).
Peak positions follow from Bragg's law for the DFT cell and can differ from measured ones.

Principal peaks in the range 2θ = 10–90°, by angle:
(hkl)  2θ/deg  intensity
0 0 2  18.01  100
2 0 0  36.10  9
1 3 -1  36.67  19
1 3 1  37.41  16
2 0 -2  39.25  9
2 0 2  41.96  9
1 3 -3  44.62  17
1 3 3  46.48  18
1 3 -5  58.42  9
3 3 -1  64.81  9

Structural model:
a = 4.992 Å, b = 8.693 Å, c = 9.884 Å
α = 90.00°, β = 94.56°, γ = 90.00°
Space group C2/m (No. 12)
Symmetry-distinct sites (fractional):
Li 0.136 0.167 0.283 [8 per cell]
Co 0.000 0.000 0.500 [2 per cell]
Co 0.000 0.166 0.000 [4 per cell]
Co 0.000 0.335 0.500 [4 per cell]
Sb 0.000 0.500 0.000 [2 per cell]
O 0.135 0.000 0.897 [4 per cell]
O 0.157 0.327 0.896 [8 per cell]
O 0.179 0.170 0.602 [8 per cell]
O 0.189 0.500 0.604 [4 per cell]


No. 6
Diffraction record for Li4Ti3Fe3Co2O16. The PXRD pattern is theoretical, not measured: it uses a DFT-relaxed cell (PBE+U, the Materials Project) and λ = 1.5418 Å (Cu Kα).
Peak positions follow from Bragg's law for the DFT cell and can differ from measured ones.

Principal peaks in the range 2θ = 10–90°, by angle:
(hkl)  2θ/deg  intensity
0 0 2  18.86  88
0 1 -1  19.86  72
1 -1 1  20.02  100
1 0 1  20.09  38
-2 1 2  36.19  37
2 -1 2  36.49  34
0 2 -1  36.75  29
0 2 1  36.97  42
0 2 -3  45.87  37
2 -2 3  46.37  34

Structural model:
a = 5.812 Å, b = 5.822 Å, c = 9.411 Å
α = 90.20°, β = 90.61°, γ = 119.79°
Space group P1 (No. 1)
Symmetry-distinct sites (fractional):
Li 0.000 0.000 0.000 [1 per cell]
Li 0.004 0.998 0.510 [1 per cell]
Li 0.330 0.676 0.608 [1 per cell]
Li 0.661 0.341 0.106 [1 per cell]
Ti 0.163 0.347 0.286 [1 per cell]
Ti 0.656 0.841 0.285 [1 per cell]
Ti 0.827 0.176 0.781 [1 per cell]
Fe 0.163 0.838 0.288 [1 per cell]
Fe 0.340 0.187 0.794 [1 per cell]
Fe 0.818 0.658 0.790 [1 per cell]
Co 0.326 0.669 0.012 [1 per cell]
Co 0.661 0.347 0.518 [1 per cell]
O 0.005 0.001 0.699 [1 per cell]
O 0.042 0.526 0.150 [1 per cell]
O 0.155 0.826 0.896 [1 per cell]
O 0.165 0.348 0.898 [1 per cell]
O 0.336 0.183 0.400 [1 per cell]
O 0.336 0.668 0.401 [1 per cell]
O 0.473 0.527 0.156 [1 per cell]
O 0.477 0.960 0.151 [1 per cell]
O 0.523 0.057 0.653 [1 per cell]
O 0.529 0.494 0.653 [1 per cell]
O 0.655 0.338 0.898 [1 per cell]
O 0.659 0.830 0.893 [1 per cell]
O 0.820 0.667 0.399 [1 per cell]
O 0.827 0.178 0.397 [1 per cell]
O 0.951 0.492 0.658 [1 per cell]
O 0.991 0.009 0.188 [1 per cell]